No. 1
This entry pairs a crystal structure of Rb3Mg2H8 with its calculated powder diffraction line list. Radiation: Cu Ka. Structure: a crystal structure in Alexandria, relaxed with PBE.
Intensities are scaled so that the largest is 100.

Structural model:
Unit cell a=8.180 b=8.180 c=8.180 alpha=44.49 beta=44.49 gamma=44.49
Positions (direct):
Rb  0.000  0.000  0.000
Rb  0.206  0.206  0.206
Rb  0.794  0.794  0.794
Mg  0.416  0.416  0.416
Mg  0.584  0.584  0.584
H  0.230  0.727  0.727
H  0.273  0.273  0.770
H  0.273  0.770  0.273
H  0.332  0.332  0.332
H  0.668  0.668  0.668
H  0.727  0.230  0.727
H  0.727  0.727  0.230
H  0.770  0.273  0.273

The 10 most intense peaks (2θ = 5–70°), by angle:
2θ (°)  I (rel.)
17.01  23
23.12  27
26.14  100
28.83  85
39.31  35
44.38  20
47.28  16
49.47  34
51.08  17
62.17  14

***

No. 2
This entry pairs a crystal structure of ZrSb2Se with its calculated powder diffraction line list. Radiation: Cu Ka. Structure: a crystal structure in Alexandria, relaxed with PBE.
Intensities are scaled so that the largest is 100.

Structural model:
Unit cell a=5.781 b=5.781 c=5.503 alpha=113.72 beta=113.72 gamma=38.57
Positions (direct):
Zr  0.000  0.000  0.000
Sb  0.529  0.529  0.434
Sb  0.716  0.716  0.995
Se  0.348  0.348  0.636

The 10 most intense peaks (2θ = 5–70°), by angle:
2θ (°)  I (rel.)
25.00  34
28.49  65
30.46  32
32.93  52
33.10  100
34.66  83
36.07  54
45.66  29
47.63  46
55.77  27

***

No. 3
This entry pairs a crystal structure of Ta2Sn2S7 with its calculated powder diffraction line list. Radiation: Cu Ka. Structure: a crystal structure in Alexandria, relaxed with PBE.
Intensities are scaled so that the largest is 100.

Structural model:
Unit cell a=8.763 b=8.763 c=8.763 alpha=156.89 beta=68.53 gamma=116.50
Positions (direct):
Ta  0.000  0.000  0.000
Ta  0.644  0.144  0.500
Sn  0.111  0.792  0.319
Sn  0.473  0.792  0.681
S  0.202  0.702  0.500
S  0.261  0.088  0.173
S  0.451  0.561  0.890
S  0.671  0.561  0.110
S  0.760  0.359  0.401
S  0.915  0.088  0.827
S  0.958  0.359  0.599

The 10 most intense peaks (2θ = 5–70°), by angle:
2θ (°)  I (rel.)
12.22  71
20.77  100
22.86  64
29.71  47
29.90  62
32.65  83
36.97  47
37.21  91
46.72  47
51.03  41

***

No. 4
This entry pairs a crystal structure of Pr3W2N7 with its calculated powder diffraction line list. Radiation: Cu Ka. Structure: a crystal structure in Alexandria, relaxed with PBE.
Intensities are scaled so that the largest is 100.

Structural model:
Unit cell a=10.863 b=10.863 c=3.915 alpha=90.00 beta=90.00 gamma=158.63
Positions (direct):
Pr  0.000  0.000  0.000
Pr  0.177  0.823  0.000
Pr  0.823  0.177  0.000
W  0.402  0.598  0.500
W  0.598  0.402  0.500
N  0.094  0.906  0.500
N  0.308  0.692  0.500
N  0.404  0.596  0.000
N  0.500  0.500  0.500
N  0.596  0.404  0.000
N  0.692  0.308  0.500
N  0.906  0.094  0.500

The 10 most intense peaks (2θ = 5–70°), by angle:
2θ (°)  I (rel.)
16.61  24
28.27  26
30.51  90
32.16  100
34.05  68
45.01  26
46.38  24
56.54  33
57.62  31
57.75  33

***

No. 5
This entry pairs a crystal structure of La5Zn6 with its calculated powder diffraction line list. Radiation: Cu Ka. Structure: a crystal structure in Alexandria, relaxed with PBE.
Intensities are scaled so that the largest is 100.

Structural model:
Unit cell a=9.128 b=9.128 c=9.128 alpha=146.67 beta=131.33 gamma=60.27
Positions (direct):
La  0.000  0.000  0.000
La  0.173  0.673  0.500
La  0.351  0.351  0.000
La  0.649  0.649  0.000
La  0.827  0.327  0.500
Zn  0.074  0.831  0.244
Zn  0.221  0.500  0.721
Zn  0.413  0.169  0.244
Zn  0.587  0.831  0.756
Zn  0.779  0.500  0.279
Zn  0.926  0.169  0.756

The 10 most intense peaks (2θ = 5–70°), by angle:
2θ (°)  I (rel.)
23.60  11
33.93  100
34.07  23
34.26  26
48.40  9
49.09  16
60.51  8
60.63  9
60.90  14
61.14  18

***

No. 6
This entry pairs a crystal structure of Na3Hg2S2I3 with its calculated powder diffraction line list. Radiation: Cu Ka. Structure: a crystal structure in Alexandria, relaxed with PBE.
Intensities are scaled so that the largest is 100.

Structural model:
Unit cell a=15.235 b=15.235 c=15.235 alpha=162.56 beta=162.56 gamma=24.77
Positions (direct):
Na  0.000  0.000  0.000
Na  0.394  0.394  0.000
Na  0.606  0.606  0.000
Hg  0.250  0.750  0.500
Hg  0.750  0.250  0.500
S  0.295  0.295  0.000
S  0.705  0.705  0.000
I  0.111  0.111  0.000
I  0.500  0.500  0.000
I  0.889  0.889  0.000

The 10 most intense peaks (2θ = 5–70°), by angle:
2θ (°)  I (rel.)
5.94  100
11.89  34
17.88  25
23.92  43
24.39  40
27.96  67
29.87  47
38.99  39
41.02  58
46.26  30

***

No. 7
This entry pairs a crystal structure of RbAcCu2Cl8 with its calculated powder diffraction line list. Radiation: Cu Ka. Structure: a crystal structure in Alexandria, relaxed with PBE.
Intensities are scaled so that the largest is 100.

Structural model:
Unit cell a=8.874 b=8.874 c=8.874 alpha=135.33 beta=135.33 gamma=65.02
Positions (direct):
Rb  0.000  0.000  0.000
Ac  0.750  0.250  0.500
Cu  0.250  0.750  0.500
Cu  0.500  0.500  0.000
Cl  0.039  0.959  0.619
Cl  0.041  0.660  0.080
Cl  0.156  0.303  0.624
Cl  0.340  0.420  0.381
Cl  0.467  0.844  0.147
Cl  0.580  0.961  0.920
Cl  0.680  0.533  0.376
Cl  0.697  0.320  0.853

The 10 most intense peaks (2θ = 5–70°), by angle:
2θ (°)  I (rel.)
14.40  29
22.10  100
23.78  16
30.22  23
34.75  18
35.85  33
40.82  23
44.16  44
45.08  16
56.79  15

***

No. 8
This entry pairs a crystal structure of PuThCd with its calculated powder diffraction line list. Radiation: Cu Ka. Structure: a crystal structure in Alexandria, relaxed with PBE.
Intensities are scaled so that the largest is 100.

Structural model:
Unit cell a=8.659 b=8.659 c=3.468 alpha=90.00 beta=90.00 gamma=144.70
Positions (direct):
Pu  0.046  0.954  0.750
Pu  0.954  0.046  0.250
Th  0.404  0.596  0.750
Th  0.596  0.404  0.250
Cd  0.222  0.778  0.250
Cd  0.778  0.222  0.750

The 10 most intense peaks (2θ = 5–70°), by angle:
2θ (°)  I (rel.)
10.72  43
23.42  12
32.03  30
34.15  36
35.04  100
51.55  18
52.82  14
61.71  20
63.29  19
64.39  12